B3C7: simulated X-ray diffraction stick pattern (Cu Kα), based on a structure optimized by DFT (GGA-PBE).
No peak broadening, texture or thermal motion is included.

Structural model:
```
data_B3C7
_space_group_name_H-M_alt 'P 1'
_space_group_IT_number 1
_cell_length_a 4.3328
_cell_length_b 4.3328
_cell_length_c 5.5099
_cell_angle_alpha 126.47
_cell_angle_beta 126.47
_cell_angle_gamma 53.77
loop_
_space_group_symop_operation_xyz
'x,y,z'
loop_
_atom_site_label
_atom_site_type_symbol
_atom_site_fract_x
_atom_site_fract_y
_atom_site_fract_z
B1 B 0.0000 0.0000 0.0000
B2 B 0.2528 0.5634 0.0932
B3 B 0.4366 0.7472 0.9068
C1 C 0.0143 0.4204 0.3162
C2 C 0.2405 0.1288 0.7902
C3 C 0.4647 0.3163 0.5884
C4 C 0.5796 0.9857 0.6838
C5 C 0.6837 0.5353 0.4116
C6 C 0.8066 0.1934 0.5000
C7 C 0.8712 0.7595 0.2098
```

Most intense lines, 2θ from 10° to 90°, most intense first:
| two_theta | intensity |
| --- | --- |
| 41.46 | 100 |
| 43.92 | 91 |
| 71.65 | 49 |
| 88.42 | 16 |
| 72.10 | 13 |
| 21.63 | 10 |
| 79.01 | 10 |
| 82.52 | 9 |
| 84.21 | 6 |
| 27.53 | 5 |